Calculated powder X-ray diffraction pattern
Compound: PrSm2Sc2
Radiation: λ = 1.5418 Å (Cu Kα)
Structure: DFT lattice parameters and positions (PBE)
Kinematic intensities with the Lorentz-polarization factor, no thermal factor.

Cell and atoms:
```
data_PrSm2Sc2
_chemical_formula_sum 'Pr1 Sm2 Sc2'
_space_group_name_H-M_alt 'P -1'
_space_group_IT_number 2
_cell_length_a 4.9296
_cell_length_b 6.0384
_cell_length_c 6.0802
_cell_angle_alpha 80.19
_cell_angle_beta 66.09
_cell_angle_gamma 65.97
loop_
_space_group_symop_operation_xyz
'x,y,z'
'-x,-y,-z'
loop_
_atom_site_label
_atom_site_type_symbol
_atom_site_fract_x
_atom_site_fract_y
_atom_site_fract_z
Pr1 Pr 0.0000 0.0000 0.0000
Sm1 Sm 0.4047 0.7933 0.3959
Sc1 Sc 0.1965 0.4056 0.2017
```

Peak list (8 most intense, 2θ from 5° to 70°, low angle first)
- 2θ 21.31, d 4.169, I = 27, hkl 1 1 0
- 2θ 31.23, d 2.864, I = 100, hkl 1 1 2
- 2θ 31.42, d 2.847, I = 46, hkl 1 -1 1
- 2θ 31.46, d 2.844, I = 45, hkl 1 2 0
- 2θ 36.28, d 2.476, I = 61, hkl 0 1 -2
- 2θ 36.45, d 2.465, I = 34, hkl 2 1 1
- 2θ 52.38, d 1.747, I = 42, hkl 2 0 3
- 2θ 62.38, d 1.489, I = 38, hkl 3 2 3